No. 1
This entry pairs a crystal structure of ScHSe2 with its calculated PXRD pattern. Radiation: Cu Ka. Structure: a DFT-relaxed cell (GGA-PBE, Alexandria).
Neutral-atom scattering factors, no anomalous dispersion.

Crystal structure
Unit cell a=3.960 b=6.782 c=6.786 alpha=85.33 beta=80.27 gamma=88.74
Fractional coordinates of all 8 atoms:
Sc 0.000 0.000 0.000
Sc 0.496 0.492 0.981
H 0.306 0.763 0.455
H 0.715 0.436 0.307
Se 0.011 0.294 0.264
Se 0.057 0.680 0.785
Se 0.438 0.802 0.231
Se 0.557 0.169 0.793

Top 10 peaks for 15° ≤ 2θ ≤ 90°, by angle:
- 2θ = 26.74°, intensity 50
- 2θ = 27.19°, intensity 49
- 2θ = 28.40°, intensity 80
- 2θ = 28.66°, intensity 67
- 2θ = 31.73°, intensity 100
- 2θ = 35.84°, intensity 46
- 2θ = 36.33°, intensity 57
- 2θ = 44.39°, intensity 32
- 2θ = 46.26°, intensity 36
- 2θ = 46.72°, intensity 32


No. 2
This entry pairs a crystal structure of HoLuNi with its calculated PXRD pattern. Radiation: Cu Ka. Structure: a DFT-relaxed cell (GGA-PBE, Alexandria).
Neutral-atom scattering factors, no anomalous dispersion.

Crystal structure
Unit cell a=4.491 b=4.491 c=3.938 alpha=90.00 beta=90.00 gamma=120.00
Fractional coordinates of all 3 atoms:
Ho 0.000 0.000 0.000
Lu 0.333 0.667 0.510
Ni 0.667 0.333 0.288

Top 10 peaks for 15° ≤ 2θ ≤ 90°, by angle:
- 2θ = 22.87°, intensity 14
- 2θ = 32.35°, intensity 100
- 2θ = 40.16°, intensity 50
- 2θ = 52.06°, intensity 15
- 2θ = 52.48°, intensity 26
- 2θ = 62.76°, intensity 13
- 2θ = 68.08°, intensity 24
- 2θ = 72.97°, intensity 9
- 2θ = 76.61°, intensity 8
- 2θ = 81.76°, intensity 8


No. 3
This entry pairs a crystal structure of ReP2IrS with its calculated PXRD pattern. Radiation: Cu Ka. Structure: a DFT-relaxed cell (GGA-PBE, Alexandria).
Neutral-atom scattering factors, no anomalous dispersion.

Crystal structure
Unit cell a=4.624 b=4.624 c=4.418 alpha=90.00 beta=90.00 gamma=90.00
Fractional coordinates of all 5 atoms:
Re 0.000 0.000 0.000
P 0.000 0.500 0.000
P 0.500 0.000 0.000
Ir 0.500 0.500 0.500
S 0.000 0.000 0.500

Top 10 peaks for 15° ≤ 2θ ≤ 90°, by angle:
- 2θ = 27.28°, intensity 55
- 2θ = 27.93°, intensity 100
- 2θ = 38.96°, intensity 39
- 2θ = 40.85°, intensity 17
- 2θ = 48.62°, intensity 46
- 2θ = 49.82°, intensity 22
- 2θ = 56.28°, intensity 13
- 2θ = 57.72°, intensity 25
- 2θ = 71.84°, intensity 13
- 2θ = 77.51°, intensity 12


No. 4
This entry pairs a crystal structure of MnNiCl5 with its calculated PXRD pattern. Radiation: Cu Ka. Structure: a DFT-relaxed cell (GGA-PBE, Alexandria).
Neutral-atom scattering factors, no anomalous dispersion.

Crystal structure
Unit cell a=6.457 b=6.519 c=9.216 alpha=110.06 beta=108.18 gamma=93.37
Fractional coordinates of all 14 atoms:
Mn 0.000 0.000 0.000
Mn 0.500 0.500 0.500
Ni 0.101 0.369 0.755
Ni 0.899 0.631 0.245
Cl 0.174 0.697 0.969
Cl 0.194 0.678 0.465
Cl 0.222 0.138 0.884
Cl 0.298 0.174 0.282
Cl 0.403 0.364 0.680
Cl 0.597 0.636 0.320
Cl 0.702 0.826 0.718
Cl 0.778 0.862 0.116
Cl 0.806 0.322 0.535
Cl 0.826 0.303 0.031

Top 10 peaks for 15° ≤ 2θ ≤ 90°, by angle:
- 2θ = 18.80°, intensity 28
- 2θ = 21.27°, intensity 71
- 2θ = 21.51°, intensity 100
- 2θ = 22.86°, intensity 85
- 2θ = 27.41°, intensity 22
- 2θ = 32.26°, intensity 31
- 2θ = 35.22°, intensity 23
- 2θ = 38.09°, intensity 25
- 2θ = 38.92°, intensity 42
- 2θ = 44.83°, intensity 39


No. 5
This entry pairs a crystal structure of PmYInAu with its calculated PXRD pattern. Radiation: Cu Ka. Structure: a DFT-relaxed cell (GGA-PBE, Alexandria).
Neutral-atom scattering factors, no anomalous dispersion.

Crystal structure
Unit cell a=3.652 b=3.652 c=7.813 alpha=90.00 beta=90.00 gamma=90.00
Fractional coordinates of all 4 atoms:
Pm 0.000 0.000 0.000
Y 0.000 0.000 0.464
In 0.500 0.500 0.726
Au 0.500 0.500 0.253

Top 10 peaks for 15° ≤ 2θ ≤ 90°, by angle:
- 2θ = 33.59°, intensity 100
- 2θ = 34.73°, intensity 47
- 2θ = 46.50°, intensity 9
- 2θ = 49.94°, intensity 17
- 2θ = 59.32°, intensity 17
- 2θ = 61.54°, intensity 35
- 2θ = 70.61°, intensity 10
- 2θ = 77.89°, intensity 7
- 2θ = 83.10°, intensity 8
- 2θ = 83.74°, intensity 8


No. 6
This entry pairs a crystal structure of Sr2PaAs3 with its calculated PXRD pattern. Radiation: Cu Ka. Structure: a DFT-relaxed cell (GGA-PBE, Alexandria).
Neutral-atom scattering factors, no anomalous dispersion.

Crystal structure
Unit cell a=14.402 b=13.728 c=7.547 alpha=79.43 beta=69.56 gamma=31.01
Fractional coordinates of all 24 atoms:
Sr 0.044 0.044 0.206
Sr 0.122 0.122 0.628
Sr 0.206 0.206 0.044
Sr 0.372 0.372 0.878
Sr 0.628 0.628 0.122
Sr 0.794 0.794 0.956
Sr 0.878 0.878 0.372
Sr 0.956 0.956 0.794
Pa 0.291 0.291 0.459
Pa 0.459 0.459 0.291
Pa 0.541 0.541 0.709
Pa 0.709 0.709 0.541
As 0.037 0.534 0.245
As 0.157 0.593 0.593
As 0.245 0.684 0.037
As 0.316 0.755 0.466
As 0.407 0.843 0.843
As 0.466 0.963 0.316
As 0.534 0.037 0.684
As 0.593 0.157 0.157
As 0.684 0.245 0.534
As 0.755 0.316 0.963
As 0.843 0.407 0.407
As 0.963 0.466 0.755

Top 10 peaks for 15° ≤ 2θ ≤ 90°, by angle:
- 2θ = 25.06°, intensity 15
- 2θ = 29.02°, intensity 100
- 2θ = 41.48°, intensity 61
- 2θ = 41.63°, intensity 12
- 2θ = 51.35°, intensity 13
- 2θ = 51.52°, intensity 13
- 2θ = 60.18°, intensity 7
- 2θ = 68.07°, intensity 16
- 2θ = 68.16°, intensity 10
- 2θ = 75.61°, intensity 10


No. 7
This entry pairs a crystal structure of Tb7Hg2Ir2 with its calculated PXRD pattern. Radiation: Cu Ka. Structure: a DFT-relaxed cell (GGA-PBE, Alexandria).
Neutral-atom scattering factors, no anomalous dispersion.

Crystal structure
Unit cell a=6.796 b=6.796 c=7.143 alpha=90.00 beta=90.00 gamma=106.43
Fractional coordinates of all 11 atoms:
Tb 0.000 0.000 0.000
Tb 0.000 0.500 0.250
Tb 0.000 0.500 0.750
Tb 0.500 0.000 0.250
Tb 0.500 0.000 0.750
Tb 0.500 0.500 0.244
Tb 0.500 0.500 0.756
Hg 0.184 0.184 0.500
Hg 0.816 0.816 0.500
Ir 0.288 0.712 0.000
Ir 0.712 0.288 0.000

Top 10 peaks for 15° ≤ 2θ ≤ 90°, by angle:
- 2θ = 20.52°, intensity 37
- 2θ = 25.19°, intensity 48
- 2θ = 28.50°, intensity 31
- 2θ = 32.91°, intensity 54
- 2θ = 37.00°, intensity 41
- 2θ = 37.35°, intensity 100
- 2θ = 41.89°, intensity 17
- 2θ = 43.53°, intensity 20
- 2θ = 51.15°, intensity 19
- 2θ = 62.17°, intensity 19


No. 8
This entry pairs a crystal structure of Na2CaSnAs2 with its calculated PXRD pattern. Radiation: Cu Ka. Structure: a DFT-relaxed cell (GGA-PBE, Alexandria).
Neutral-atom scattering factors, no anomalous dispersion.

Crystal structure
Unit cell a=4.136 b=8.774 c=8.630 alpha=90.00 beta=90.00 gamma=90.00
Fractional coordinates of all 12 atoms:
Na 0.000 0.091 0.000
Na 0.000 0.909 0.500
Na 0.500 0.203 0.288
Na 0.500 0.797 0.788
Ca 0.500 0.435 0.895
Ca 0.500 0.565 0.395
Sn 0.000 0.264 0.584
Sn 0.000 0.736 0.084
As 0.000 0.436 0.166
As 0.000 0.564 0.666
As 0.500 0.129 0.751
As 0.500 0.871 0.251

Top 10 peaks for 15° ≤ 2θ ≤ 90°, by angle:
- 2θ = 20.58°, intensity 28
- 2θ = 25.96°, intensity 29
- 2θ = 29.93°, intensity 100
- 2θ = 31.65°, intensity 63
- 2θ = 32.32°, intensity 47
- 2θ = 39.14°, intensity 84
- 2θ = 39.52°, intensity 29
- 2θ = 43.78°, intensity 34
- 2θ = 46.91°, intensity 25
- 2θ = 58.91°, intensity 22


No. 9
This entry pairs a crystal structure of BaAc2Pb3 with its calculated PXRD pattern. Radiation: Cu Ka. Structure: a DFT-relaxed cell (GGA-PBE, Alexandria).
Neutral-atom scattering factors, no anomalous dispersion.

Crystal structure
Unit cell a=9.137 b=9.137 c=9.137 alpha=107.39 beta=91.14 gamma=132.94
Fractional coordinates of all 12 atoms:
Ba 0.499 0.249 0.250
Ba 0.501 0.751 0.750
Ac 0.166 0.250 0.916
Ac 0.166 0.750 0.416
Ac 0.834 0.250 0.584
Ac 0.834 0.750 0.084
Pb 0.000 0.000 0.500
Pb 0.000 0.250 0.250
Pb 0.000 0.500 0.000
Pb 0.000 0.750 0.750
Pb 0.500 0.250 0.750
Pb 0.500 0.750 0.250

Top 10 peaks for 15° ≤ 2θ ≤ 90°, by angle:
- 2θ = 24.18°, intensity 18
- 2θ = 28.16°, intensity 26
- 2θ = 29.35°, intensity 100
- 2θ = 29.54°, intensity 49
- 2θ = 32.52°, intensity 32
- 2θ = 32.76°, intensity 61
- 2θ = 33.12°, intensity 43
- 2θ = 46.13°, intensity 30
- 2θ = 49.52°, intensity 28
- 2θ = 60.89°, intensity 42


No. 10
This entry pairs a crystal structure of Tb2PrTmP4 with its calculated PXRD pattern. Radiation: Cu Ka. Structure: a DFT-relaxed cell (GGA-PBE, Alexandria).
Neutral-atom scattering factors, no anomalous dispersion.

Crystal structure
Unit cell a=7.020 b=4.057 c=7.023 alpha=90.00 beta=109.46 gamma=90.00
Fractional coordinates of all 8 atoms:
Tb 0.000 0.000 0.000
Tb 0.500 0.500 0.000
Pr 0.000 0.500 0.500
Tm 0.500 0.000 0.500
P 0.257 0.500 0.250
P 0.259 0.000 0.755
P 0.741 0.000 0.245
P 0.743 0.500 0.750

Top 10 peaks for 15° ≤ 2θ ≤ 90°, by angle:
- 2θ = 26.93°, intensity 85
- 2θ = 31.19°, intensity 100
- 2θ = 44.70°, intensity 73
- 2θ = 52.96°, intensity 42
- 2θ = 55.51°, intensity 26
- 2θ = 65.06°, intensity 12
- 2θ = 71.74°, intensity 17
- 2θ = 73.91°, intensity 33
- 2θ = 82.38°, intensity 25
- 2θ = 88.62°, intensity 13


No. 11
This entry pairs a crystal structure of Ac2Pm12Y5 with its calculated PXRD pattern. Radiation: Cu Ka. Structure: a DFT-relaxed cell (GGA-PBE, Alexandria).
Neutral-atom scattering factors, no anomalous dispersion.

Crystal structure
Unit cell a=6.320 b=9.728 c=10.999 alpha=100.88 beta=95.30 gamma=90.03
Fractional coordinates of all 19 atoms:
Ac 0.105 0.418 0.135
Ac 0.895 0.582 0.865
Pm 0.054 0.208 0.813
Pm 0.158 0.634 0.451
Pm 0.262 0.049 0.079
Pm 0.317 0.260 0.397
Pm 0.424 0.689 0.030
Pm 0.472 0.896 0.344
Pm 0.528 0.104 0.656
Pm 0.576 0.311 0.970
Pm 0.683 0.740 0.603
Pm 0.738 0.951 0.921
Pm 0.842 0.366 0.549
Pm 0.946 0.792 0.187
Y 0.000 0.000 0.500
Y 0.216 0.846 0.761
Y 0.369 0.472 0.706
Y 0.631 0.528 0.294
Y 0.784 0.154 0.239

Top 10 peaks for 15° ≤ 2θ ≤ 90°, by angle:
- 2θ = 29.80°, intensity 100
- 2θ = 29.86°, intensity 50
- 2θ = 29.99°, intensity 49
- 2θ = 34.54°, intensity 34
- 2θ = 34.66°, intensity 67
- 2θ = 49.66°, intensity 36
- 2θ = 58.94°, intensity 14
- 2θ = 59.05°, intensity 28
- 2θ = 59.18°, intensity 28
- 2θ = 83.31°, intensity 13


No. 12
This entry pairs a crystal structure of Sn2Pb3Au7 with its calculated PXRD pattern. Radiation: Cu Ka. Structure: a DFT-relaxed cell (GGA-PBE, Alexandria).
Neutral-atom scattering factors, no anomalous dispersion.

Crystal structure
Unit cell a=4.196 b=4.205 c=16.855 alpha=93.46 beta=92.44 gamma=90.26
Fractional coordinates of all 12 atoms:
Sn 0.190 0.165 0.157
Sn 0.810 0.835 0.843
Pb 0.263 0.267 0.569
Pb 0.500 0.500 0.000
Pb 0.737 0.733 0.431
Au 0.000 0.000 0.000
Au 0.209 0.694 0.267
Au 0.233 0.226 0.390
Au 0.289 0.807 0.733
Au 0.711 0.193 0.267
Au 0.767 0.774 0.610
Au 0.791 0.306 0.733

Top 10 peaks for 15° ≤ 2θ ≤ 90°, by angle:
- 2θ = 15.82°, intensity 53
- 2θ = 31.10°, intensity 57
- 2θ = 31.76°, intensity 82
- 2θ = 32.01°, intensity 100
- 2θ = 33.22°, intensity 63
- 2θ = 37.46°, intensity 70
- 2θ = 38.49°, intensity 98
- 2θ = 40.21°, intensity 56
- 2θ = 43.10°, intensity 100
- 2θ = 43.27°, intensity 50